The following is a theoretical X-ray powder pattern of Pa2Mn2Si3. It was derived from DFT lattice parameters and positions (PBE), using Cu Kα (λ = 1.5418 Å).
No peak broadening, texture or thermal motion is included.

Cell and atoms:
```
data_Pa2Mn2Si3
_cell_length_a 9.048
_cell_length_b 9.048
_cell_length_c 6.588
_cell_angle_alpha 90.00
_cell_angle_beta 90.00
_cell_angle_gamma 153.88
_symmetry_space_group_name_H-M 'P 1'
_symmetry_Int_Tables_number 1
loop_
_symmetry_equiv_pos_as_xyz
'x,y,z'
loop_
_atom_site_label
_atom_site_fract_x
_atom_site_fract_y
_atom_site_fract_z
Pa1 0.052 0.948 0.750
Pa2 0.162 0.838 0.250
Pa3 0.838 0.162 0.750
Pa4 0.948 0.052 0.250
Mn1 0.306 0.694 0.050
Mn2 0.306 0.694 0.450
Mn3 0.694 0.306 0.550
Mn4 0.694 0.306 0.950
Si1 0.217 0.783 0.750
Si2 0.437 0.563 0.565
Si3 0.437 0.563 0.935
Si4 0.563 0.437 0.065
Si5 0.563 0.437 0.435
Si6 0.783 0.217 0.250
```

Most intense lines, 2θ = 5–70°, low angle first:
d_spacing, 2θ/deg, Rel. int.
3.984, 22.32, 43
3.663, 24.30, 60
3.294, 27.07, 28
2.991, 29.87, 23
2.683, 33.39, 24
2.539, 35.36, 77
2.475, 36.30, 100
2.045, 44.30, 26
1.965, 46.19, 30
1.557, 59.37, 22